Starting from a crystal structure in the Materials Project, relaxed with PBE, the X-ray powder pattern of Bi2Pb3S6 was computed for Cu Kα (λ = 1.5418 Å).

```
Bi2Pb3S6
1.0
6.8865 -2.0643 0.0000
6.8865 2.0643 0.0000
-0.8726 0.0000 21.0477
Bi Pb S
4 6 12
direct
0.0963 0.0963 0.1350
0.3609 0.3609 0.4500
0.6391 0.6391 0.5500
0.9037 0.9037 0.8650
0.0821 0.0821 0.3657
0.1735 0.1735 0.7616
0.3655 0.3655 0.0459
0.6345 0.6345 0.9541
0.8265 0.8265 0.2384
0.9179 0.9179 0.6343
0.0000 0.0000 0.0000
0.0000 0.0000 0.5000
0.1849 0.1849 0.2504
0.2649 0.2649 0.5847
0.2671 0.2671 0.8986
0.4415 0.4415 0.3366
0.4654 0.4654 0.1644
0.5346 0.5346 0.8356
0.5585 0.5585 0.6634
0.7329 0.7329 0.1014
0.7351 0.7351 0.4153
0.8151 0.8151 0.7496
```

Top 10 peaks for 2θ = 15–90°, in order of rising 2θ:
- d = 3.659 Å, I 100
- d = 3.526 Å, I 83
- d = 3.463 Å, I 44
- d = 3.433 Å, I 95
- d = 3.025 Å, I 49
- d = 2.968 Å, I 56
- d = 2.924 Å, I 56
- d = 2.841 Å, I 45
- d = 2.203 Å, I 47
- d = 2.064 Å, I 45